Cs2TlSi2O6: theoretical powder diffractogram (Cu Kα, 1.54184 Å), based on the PBE geometry in Alexandria.

Atomic structure:
abc: 7.5347 7.5347 7.5347
angles: 48.44 48.44 48.44
Fractional positions:
Cs  0.2088  0.2088  0.2088
Cs  0.7912  0.7912  0.7912
Tl  0.0000  0.0000  0.0000
Si  0.4090  0.4090  0.4090
Si  0.5910  0.5910  0.5910
O  0.2616  0.2616  0.7084
O  0.2616  0.7084  0.2616
O  0.2916  0.7383  0.7383
O  0.7084  0.2616  0.2616
O  0.7384  0.2916  0.7384
O  0.7384  0.7384  0.2916

Top 10 peaks for 5° ≤ 2θ ≤ 70°, in order of rising 2θ:
| 2θ (°) | I_rel |
| --- | --- |
| 17.15 | 44 |
| 24.42 | 32 |
| 27.93 | 100 |
| 28.89 | 78 |
| 38.18 | 23 |
| 40.61 | 31 |
| 48.81 | 19 |
| 50.60 | 32 |
| 50.76 | 19 |
| 67.30 | 16 |



K3In4Au7: theoretical powder diffractogram (Cu Kα, 1.54184 Å), based on the PBE geometry in Alexandria.

Atomic structure:
abc: 8.9703 8.9703 10.5604
angles: 124.81 124.81 30.65
Fractional positions:
K  0.0000  0.0000  0.0000
K  0.3293  0.3293  0.3244
K  0.6707  0.6707  0.6756
In  0.1304  0.1304  0.4070
In  0.3171  0.3171  0.9693
In  0.6829  0.6829  0.0307
In  0.8696  0.8696  0.5930
Au  0.0000  0.0000  0.5000
Au  0.1173  0.1173  0.8407
Au  0.3186  0.3186  0.7011
Au  0.4937  0.4937  0.7347
Au  0.5063  0.5063  0.2653
Au  0.6814  0.6814  0.2989
Au  0.8827  0.8827  0.1593

Top 10 peaks for 5° ≤ 2θ ≤ 70°, in order of rising 2θ:
| 2θ (°) | I_rel |
| --- | --- |
| 16.80 | 85 |
| 20.53 | 73 |
| 31.60 | 72 |
| 32.08 | 100 |
| 37.41 | 70 |
| 37.95 | 91 |
| 40.74 | 45 |
| 41.58 | 52 |
| 41.77 | 36 |
| 43.46 | 36 |



Tl5Sn4Pb: theoretical powder diffractogram (Cu Kα, 1.54184 Å), based on the PBE geometry in Alexandria.

Atomic structure:
abc: 3.4134 3.4138 25.5129
angles: 90.00 90.00 96.74
Fractional positions:
Tl  0.0000  0.0000  0.0000
Tl  0.0008  0.0009  0.6042
Tl  0.0010  0.0009  0.8019
Tl  0.9990  0.9991  0.1981
Tl  0.9992  0.9991  0.3958
Sn  0.5003  0.4970  0.2975
Sn  0.4996  0.4995  0.0993
Sn  0.5004  0.5005  0.9007
Sn  0.4997  0.5030  0.7025
Pb  0.5000  0.5000  0.5000

Top 10 peaks for 5° ≤ 2θ ≤ 70°, in order of rising 2θ:
| 2θ (°) | I_rel |
| --- | --- |
| 17.38 | 3 |
| 26.29 | 3 |
| 31.69 | 100 |
| 35.17 | 38 |
| 39.75 | 14 |
| 50.60 | 14 |
| 54.11 | 23 |
| 60.94 | 31 |
| 66.19 | 12 |
| 67.13 | 12 |



Please write out number 1 again, unchanged.
Cs2TlSi2O6: theoretical powder diffractogram (Cu Kα, 1.54184 Å), based on the PBE geometry in Alexandria.

Atomic structure:
abc: 7.5347 7.5347 7.5347
angles: 48.44 48.44 48.44
Fractional positions:
Cs  0.2088  0.2088  0.2088
Cs  0.7912  0.7912  0.7912
Tl  0.0000  0.0000  0.0000
Si  0.4090  0.4090  0.4090
Si  0.5910  0.5910  0.5910
O  0.2616  0.2616  0.7084
O  0.2616  0.7084  0.2616
O  0.2916  0.7383  0.7383
O  0.7084  0.2616  0.2616
O  0.7384  0.2916  0.7384
O  0.7384  0.7384  0.2916

Top 10 peaks for 5° ≤ 2θ ≤ 70°, in order of rising 2θ:
| 2θ (°) | I_rel |
| --- | --- |
| 17.15 | 44 |
| 24.42 | 32 |
| 27.93 | 100 |
| 28.89 | 78 |
| 38.18 | 23 |
| 40.61 | 31 |
| 48.81 | 19 |
| 50.60 | 32 |
| 50.76 | 19 |
| 67.30 | 16 |



- Which formula does entry 3 have?
  Tl5Sn4Pb